No. 1
Structure and computed powder X-ray diffraction pattern of CeMgP2Ir2 (a crystal structure in Alexandria, relaxed with GGA-PBE; Cu Ka).
Peak positions follow from Bragg's law for the DFT cell and can differ from measured ones.

Cell lengths 4.0053, 4.0053, 7.7766 Å; angles 90.00, 90.00, 120.00 degrees
Space group P-3m1 (No. 164)
Unique sites:
Ce: 0.0000 0.0000 0.0000
Mg: 0.0000 0.0000 0.5000
P: 0.3333 0.6667 0.7589
Ir: 0.3333 0.6667 0.2815

Peak list (10 most intense, 5° ≤ 2θ ≤ 70°, sorted by position)
| Position (°2θ) | I (rel.) | hkl |
| --- | --- | --- |
| 22.87 | 17.0 | 0 0 2 |
| 28.17 | 92.8 | 0 1 1 |
| 34.65 | 100.0 | 1 0 2 |
| 43.59 | 15.3 | 1 0 3 |
| 45.28 | 50.5 | 1 1 0 |
| 46.72 | 10.1 | 0 0 4 |
| 51.32 | 11.5 | 1 1 2 |
| 54.18 | 15.9 | 2 0 1 |
| 58.24 | 33.5 | 0 2 2 |
| 67.10 | 20.5 | 1 1 4 |

---

No. 2
Structure and computed powder X-ray diffraction pattern of SbRu2F (a crystal structure in Alexandria, relaxed with GGA-PBE; Cu Ka).
Peak positions follow from Bragg's law for the DFT cell and can differ from measured ones.

Cell lengths 6.2006, 6.2006, 6.2006 Å; angles 90.00, 90.00, 90.00 degrees
Space group Fm-3m (No. 225)
Unique sites:
Sb: 0.0000 0.0000 0.0000
Ru: 0.2500 0.2500 0.2500
F: 0.0000 0.0000 0.5000

Peak list (8 most intense, 5° ≤ 2θ ≤ 70°, sorted by position)
| Position (°2θ) | I (rel.) | hkl |
| --- | --- | --- |
| 24.87 | 21.4 | 1 1 1 |
| 28.80 | 4.8 | 2 0 0 |
| 41.18 | 100.0 | 2 2 0 |
| 48.71 | 10.8 | 3 1 1 |
| 51.02 | 1.3 | 2 2 2 |
| 59.65 | 16.2 | 4 0 0 |
| 65.63 | 4.5 | 3 3 1 |
| 67.56 | 1.8 | 4 2 0 |

---

No. 3
Structure and computed powder X-ray diffraction pattern of BaZn2NiHg (a crystal structure in Alexandria, relaxed with GGA-PBE; Cu Ka).
Peak positions follow from Bragg's law for the DFT cell and can differ from measured ones.

Cell lengths 4.8247, 4.8247, 5.1215 Å; angles 90.00, 90.00, 90.00 degrees
Space group P4/mmm (No. 123)
Unique sites:
Ba: 0.0000 0.0000 0.0000
Zn: 0.0000 0.5000 0.5000
Ni: 0.5000 0.5000 0.5000
Hg: 0.5000 0.5000 0.0000

Peak list (10 most intense, 5° ≤ 2θ ≤ 70°, sorted by position)
| Position (°2θ) | I (rel.) | hkl |
| --- | --- | --- |
| 18.39 | 19.2 | 1 0 0 |
| 26.12 | 30.8 | 1 1 0 |
| 31.51 | 100.0 | 1 1 1 |
| 35.04 | 32.8 | 0 0 2 |
| 37.27 | 55.5 | 2 0 0 |
| 52.09 | 41.8 | 2 0 2 |
| 53.74 | 19.6 | 2 2 0 |
| 60.67 | 21.5 | 1 1 3 |
| 63.64 | 26.7 | 3 1 1 |
| 65.78 | 20.4 | 2 2 2 |